# CrPdO
Simulated X-ray powder pattern, Cu Kα, 1.54184 Å. Input: a GGA+U-relaxed structure.
No peak broadening, texture or thermal motion is included.

Peak list (8 most intense, 2θ from 15° to 90°, low angle first)
| Position (°2θ) | I_rel |
| --- | --- |
| 36.4 | 100 |
| 38.0 | 25 |
| 42.4 | 35 |
| 44.4 | 47 |
| 59.8 | 24 |
| 64.5 | 14 |
| 76.4 | 22 |
| 77.4 | 11 |

Structure:
```
CrPdO
1.0
2.888 0.000 0.000
0.000 2.888 0.000
0.000 0.000 9.478
Cr Pd O
2 2 2
direct
0.250 0.250 0.152
0.750 0.750 0.848
0.250 0.250 0.600
0.750 0.750 0.400
0.250 0.250 0.878
0.750 0.750 0.122
```